[1]
Diffraction record for ErPaWC3. The powder diffractogram is calculated, not measured: it uses a structure optimized by DFT (PBE) and Cu Ka.
Lines closer than 0.1° are merged.

Structure:
a b c (Å): 7.3429 3.5560 7.8103
angles (deg): 90.00 96.43 90.00
Space group P2_1/m (No. 11)
Inequivalent atoms, fractional coordinates:
Er: 0.1266 0.2500 0.1647 [2 per cell]
Pa: 0.3337 0.7500 0.8313 [2 per cell]
W: 0.3955 0.7500 0.4008 [2 per cell]
C: 0.1309 0.2500 0.8601 [2 per cell]
C: 0.3210 0.2500 0.5038 [2 per cell]
C: 0.3949 0.7500 0.1455 [2 per cell]

The 6 most intense peaks (10° ≤ 2θ ≤ 90°), by angle:
2θ/deg	I_rel	hkl
12.1	45	1 0 0
27.6	29	0 1 1
31.7	60	2 0 -2
34.2	86	0 1 2
35.2	100	2 1 0
59.5	25	4 1 -2


[2]
Diffraction record for Rb2BSI6. The powder diffractogram is calculated, not measured: it uses a structure optimized by DFT (PBE) and Cu Ka.
Lines closer than 0.1° are merged.

Structure:
a b c (Å): 7.8411 7.8411 12.2333
angles (deg): 90.00 90.00 90.00
Space group I4/mmm (No. 139)
Inequivalent atoms, fractional coordinates:
Rb: 0.0000 0.5000 0.2500 [4 per cell]
B: 0.0000 0.0000 0.0000 [2 per cell]
S: 0.0000 0.0000 0.5000 [2 per cell]
I: 0.0000 0.0000 0.2790 [4 per cell]
I: 0.2219 0.2219 0.0000 [8 per cell]

The 6 most intense peaks (10° ≤ 2θ ≤ 90°), by angle:
2θ/deg	I_rel	hkl
27.0	100	2 0 2
29.2	24	0 0 4
32.3	37	2 2 0
44.1	26	2 2 4
50.5	13	2 0 6
54.4	21	4 2 2